LaDyTl2: simulated X-ray powder pattern (copper Kα), based on a GGA-PBE-relaxed structure.
No peak broadening, texture or thermal motion is included.

Largest 8 diffraction maxima, by angle, 2θ = 10–90°:
| index | Position (°2θ) | d (Å) | I (rel.) |
| --- | --- | --- | --- |
| 2 0 0 | 22.8 | 3.896 | 2 |
| 2 2 0 | 32.5 | 2.755 | 100 |
| 4 0 0 | 46.6 | 1.948 | 19 |
| 4 2 0 | 52.5 | 1.742 | 1 |
| 4 2 2 | 58.0 | 1.591 | 39 |
| 4 4 0 | 68.1 | 1.378 | 12 |
| 6 2 0 | 77.5 | 1.232 | 17 |
| 4 4 4 | 86.5 | 1.125 | 4 |

Structure:
```
data_LaDyTl2
_chemical_formula_sum 'La4 Dy4 Tl8'
_symmetry_space_group_name_H-M 'F m -3 m'
_symmetry_Int_Tables_number 225
_symmetry_space_group_name_Hall '-F 4 2 3'
_cell_length_a 7.793
_cell_length_b 7.793
_cell_length_c 7.793
_cell_angle_alpha 90.00
_cell_angle_beta 90.00
_cell_angle_gamma 90.00
loop_
_atom_site_label
_atom_site_type_symbol
_atom_site_fract_x
_atom_site_fract_y
_atom_site_fract_z
La1 La 0.000 0.000 0.000
Dy1 Dy 0.000 0.000 0.500
Tl1 Tl 0.250 0.250 0.250
```


MgFe4Sb4S4: simulated X-ray powder pattern (copper Kα), based on a GGA-PBE-relaxed structure.
No peak broadening, texture or thermal motion is included.

Largest 8 diffraction maxima, by angle, 2θ = 10–90°:
| index | Position (°2θ) | d (Å) | I (rel.) |
| --- | --- | --- | --- |
| 1 1 -2 | 32.2 | 2.776 | 100 |
| 1 0 -2 | 33.5 | 2.675 | 67 |
| 2 -1 1 | 34.1 | 2.629 | 93 |
| 1 2 0 | 34.3 | 2.613 | 67 |
| 2 1 -1 | 34.5 | 2.598 | 79 |
| 0 1 2 | 38.5 | 2.338 | 95 |
| 1 -1 3 | 45.5 | 1.994 | 82 |
| 1 3 -1 | 46.4 | 1.956 | 56 |

Structure:
```
data_MgFe4Sb4S4
_chemical_formula_sum 'Mg1 Fe4 Sb4 S4'
_symmetry_space_group_name_H-M 'P -1'
_symmetry_Int_Tables_number 2
_symmetry_space_group_name_Hall '-P 1'
_cell_length_a 6.057
_cell_length_b 6.259
_cell_length_c 6.337
_cell_angle_alpha 110.51
_cell_angle_beta 90.06
_cell_angle_gamma 91.30
loop_
_atom_site_label
_atom_site_type_symbol
_atom_site_fract_x
_atom_site_fract_y
_atom_site_fract_z
Mg1 Mg 0.000 0.000 0.000
Fe1 Fe 0.015 0.295 0.796
Fe2 Fe 0.481 0.307 0.306
Sb1 Sb 0.163 0.845 0.586
Sb2 Sb 0.395 0.844 0.128
S1 S 0.145 0.381 0.174
S2 S 0.351 0.366 0.661
```


MgBr2O: simulated X-ray powder pattern (copper Kα), based on a GGA-PBE-relaxed structure.
No peak broadening, texture or thermal motion is included.

Largest 8 diffraction maxima, by angle, 2θ = 10–90°:
| index | Position (°2θ) | d (Å) | I (rel.) |
| --- | --- | --- | --- |
| 2 0 1 | 24.5 | 3.631 | 18 |
| 0 0 4 | 27.9 | 3.195 | 33 |
| 1 1 2 | 28.7 | 3.108 | 100 |
| 2 0 3 | 31.6 | 2.830 | 15 |
| 1 1 3 | 32.8 | 2.730 | 15 |
| 2 1 3 | 38.9 | 2.316 | 12 |
| 0 2 0 | 45.0 | 2.014 | 14 |
| 1 1 6 | 49.9 | 1.827 | 21 |

Structure:
```
data_MgBr2O
_chemical_formula_sum 'Mg4 Br8 O4'
_symmetry_space_group_name_H-M 'P n m a'
_symmetry_Int_Tables_number 62
_symmetry_space_group_name_Hall '-P 2ac 2n'
_cell_length_a 7.573
_cell_length_b 4.029
_cell_length_c 12.779
_cell_angle_alpha 90.00
_cell_angle_beta 90.00
_cell_angle_gamma 90.00
loop_
_atom_site_label
_atom_site_type_symbol
_atom_site_fract_x
_atom_site_fract_y
_atom_site_fract_z
Mg1 Mg 0.220 0.250 0.025
Br1 Br 0.039 0.750 0.119
Br2 Br 0.142 0.250 0.384
O1 O 0.095 0.750 0.627
```


Ca2B8O15: simulated X-ray powder pattern (copper Kα), based on a GGA-PBE-relaxed structure.
No peak broadening, texture or thermal motion is included.

Largest 8 diffraction maxima, by angle, 2θ = 10–90°:
| index | Position (°2θ) | d (Å) | I (rel.) |
| --- | --- | --- | --- |
| 0 1 0 | 10.7 | 8.250 | 93 |
| 0 2 -1 | 19.1 | 4.652 | 53 |
| 0 0 2 | 19.7 | 4.506 | 86 |
| 0 2 0 | 21.5 | 4.130 | 93 |
| 0 1 -3 | 26.5 | 3.366 | 100 |
| 0 0 3 | 29.7 | 3.004 | 63 |
| 3 0 0 | 42.6 | 2.123 | 58 |
| 2 -4 3 | 45.9 | 1.977 | 69 |

Structure:
```
data_Ca2B8O15
_chemical_formula_sum 'Ca4 B16 O30'
_symmetry_space_group_name_H-M 'P -1'
_symmetry_Int_Tables_number 2
_symmetry_space_group_name_Hall '-P 1'
_cell_length_a 6.498
_cell_length_b 9.445
_cell_length_c 10.164
_cell_angle_alpha 117.01
_cell_angle_beta 90.52
_cell_angle_gamma 99.89
loop_
_atom_site_label
_atom_site_type_symbol
_atom_site_fract_x
_atom_site_fract_y
_atom_site_fract_z
Ca1 Ca 0.019 0.182 0.220
Ca2 Ca 0.340 0.185 0.672
B1 B 0.054 0.182 0.928
B2 B 0.081 0.404 0.627
B3 B 0.230 0.826 0.475
B4 B 0.252 0.935 0.281
B5 B 0.265 0.531 0.343
B6 B 0.299 0.739 0.022
B7 B 0.425 0.611 0.764
B8 B 0.445 0.845 0.692
O1 O 0.001 0.759 0.452
O2 O 0.027 0.909 0.232
O3 O 0.048 0.484 0.348
O4 O 0.104 0.751 0.973
O5 O 0.155 0.089 0.977
O6 O 0.215 0.301 0.911
O7 O 0.282 0.950 0.429
O8 O 0.287 0.447 0.678
O9 O 0.303 0.907 0.637
O10 O 0.342 0.096 0.286
O11 O 0.349 0.727 0.726
O12 O 0.351 0.692 0.396
O13 O 0.357 0.808 0.173
O14 O 0.360 0.403 0.280
O15 O 0.430 0.662 0.922
```